No. 1
Diffraction record for Tb4Sm5Tl4. The powder XRD pattern is theoretical, not measured: it uses a crystal structure in Alexandria, relaxed with PBE and Cu Kα.
Lines closer than 0.1° are merged.

Top 10 peaks for 10° ≤ 2θ ≤ 90°, most intense first:
Position (°2θ), d/Å, I/Imax
31.19, 2.867, 100
35.01, 2.563, 24
36.74, 2.446, 16
60.43, 1.532, 15
34.43, 2.605, 15
51.66, 1.769, 12
66.61, 1.404, 10
32.09, 2.789, 10
64.09, 1.453, 7
51.83, 1.764, 7

Atomic structure:
a = 12.4729 Å, b = 12.4729 Å, c = 5.1254 Å
α = 90.00°, β = 90.00°, γ = 90.00°
Space group I4/m (No. 87)
One atom of each set of equivalent atoms:
Tb  0.0939  0.3941  0.0000
Sm  0.0000  0.0000  0.0000
Sm  0.1020  0.1899  0.5000
Tl  0.1026  0.7644  0.0000


No. 2
Diffraction record for LiLa3Sm4Te8. The powder XRD pattern is theoretical, not measured: it uses a crystal structure in Alexandria, relaxed with PBE and Cu Kα.
Lines closer than 0.1° are merged.

Top 10 peaks for 10° ≤ 2θ ≤ 90°, most intense first:
Position (°2θ), d/Å, I/Imax
28.11, 3.175, 100
40.17, 2.245, 76
49.79, 1.831, 20
73.06, 1.295, 19
65.71, 1.421, 17
65.84, 1.418, 17
58.11, 1.587, 13
49.62, 1.837, 7
72.84, 1.299, 6
86.64, 1.124, 4

Atomic structure:
a = 8.9689 Å, b = 8.9689 Å, c = 22.0449 Å
α = 90.00°, β = 90.00°, γ = 120.00°
Space group R-3m (No. 166, hexagonal axes)
One atom of each set of equivalent atoms:
Li  0.0000  0.0000  0.0000
La  0.0000  0.5000  0.0000
Sm  0.0000  0.0000  0.5000
Sm  0.0000  0.5000  0.5000
Te  0.0000  0.0000  0.2471
Te  0.0104  0.5052  0.7504


No. 3
Diffraction record for Cs3H12N4F3. The powder XRD pattern is theoretical, not measured: it uses a crystal structure in Alexandria, relaxed with PBE and Cu Kα.
Lines closer than 0.1° are merged.

Top 10 peaks for 10° ≤ 2θ ≤ 90°, most intense first:
Position (°2θ), d/Å, I/Imax
20.87, 4.257, 100
32.12, 2.787, 64
38.61, 2.332, 54
27.04, 3.298, 51
54.22, 1.692, 31
44.29, 2.045, 25
40.58, 2.223, 25
65.81, 1.419, 23
24.14, 3.687, 21
47.77, 1.904, 16

Atomic structure:
a = 10.4277 Å, b = 10.4277 Å, c = 10.4277 Å
α = 90.00°, β = 90.00°, γ = 90.00°
Space group I-43d (No. 220)
One atom of each set of equivalent atoms:
Cs  0.0000  0.2500  0.8750
H  0.0193  0.4402  0.6464
N  0.0965  0.4035  0.5965
F  0.0000  0.2500  0.3750


No. 4
Diffraction record for Tl4InSe6. The powder XRD pattern is theoretical, not measured: it uses a crystal structure in Alexandria, relaxed with PBE and Cu Kα.
Lines closer than 0.1° are merged.

Top 10 peaks for 10° ≤ 2θ ≤ 90°, most intense first:
Position (°2θ), d/Å, I/Imax
23.53, 3.781, 100
26.09, 3.416, 76
22.42, 3.966, 72
25.86, 3.445, 64
24.54, 3.627, 62
39.56, 2.278, 61
12.27, 7.214, 51
21.42, 4.149, 46
30.33, 2.947, 39
46.35, 1.959, 39

Atomic structure:
a = 13.3754 Å, b = 8.7597 Å, c = 13.6127 Å
α = 90.00°, β = 108.06°, γ = 90.00°
Space group Cc (No. 9)
One atom of each set of equivalent atoms:
Tl  0.0000  0.0371  0.0000
Tl  0.1656  0.2570  0.3705
Tl  0.3130  0.4359  0.6895
Tl  0.4719  0.0833  0.1950
In  0.2553  0.2484  0.9292
Se  0.1710  0.4684  0.0070
Se  0.1816  0.2330  0.7311
Se  0.2079  0.0011  0.0158
Se  0.3719  0.3224  0.3227
Se  0.4590  0.2364  0.9854
Se  0.4850  0.2957  0.6623


Please write out number 1 again, unchanged.
Diffraction record for Tb4Sm5Tl4. The powder XRD pattern is theoretical, not measured: it uses a crystal structure in Alexandria, relaxed with PBE and Cu Kα.
Lines closer than 0.1° are merged.

Top 10 peaks for 10° ≤ 2θ ≤ 90°, most intense first:
Position (°2θ), d/Å, I/Imax
31.19, 2.867, 100
35.01, 2.563, 24
36.74, 2.446, 16
60.43, 1.532, 15
34.43, 2.605, 15
51.66, 1.769, 12
66.61, 1.404, 10
32.09, 2.789, 10
64.09, 1.453, 7
51.83, 1.764, 7

Atomic structure:
a = 12.4729 Å, b = 12.4729 Å, c = 5.1254 Å
α = 90.00°, β = 90.00°, γ = 90.00°
Space group I4/m (No. 87)
One atom of each set of equivalent atoms:
Tb  0.0939  0.3941  0.0000
Sm  0.0000  0.0000  0.0000
Sm  0.1020  0.1899  0.5000
Tl  0.1026  0.7644  0.0000